Starting from a cell relaxed with GGA+U, the XRD peak list of Ca2TaMoO6 was simulated for Cu Ka.
Lines closer than 0.1° are merged.

Structure:
```
20
Lattice="5.5745 0.0000 0.0000 0.0000 7.9589 0.0000 -0.0372 0.0000 5.7518" Properties=species:S:1:pos:R:3 pbc="T T T"
Ca 0.0530 1.9897 0.2520
Ca 2.7129 1.9897 3.2330
Ca 2.8244 5.9692 2.5187
Ca 5.4843 5.9692 5.4998
Ta -0.0186 0.0000 2.8759
Ta -0.0186 3.9795 2.8759
Mo 2.7873 0.0000 0.0000
Mo 2.7873 3.9795 0.0000
O 0.4989 5.9692 3.0665
O 1.0122 0.4167 4.5198
O 1.0122 3.5627 4.5198
O 1.6031 0.3955 1.7930
O 1.6031 3.5839 1.7930
O 2.1279 5.9692 0.2780
O 3.4094 1.9897 5.4737
O 3.9342 4.3750 3.9588
O 3.9342 7.5634 3.9588
O 4.5251 4.3962 1.2319
O 4.5251 7.5422 1.2319
O 5.0384 1.9897 2.6853
```

The 6 most intense peaks (15 to 90 degrees two-theta), low angle first:
| 2θ/deg | I_rel |
| --- | --- |
| 22.13 | 51 |
| 22.31 | 100 |
| 31.10 | 48 |
| 31.65 | 97 |
| 31.76 | 95 |
| 56.88 | 45 |

=====

Starting from a cell relaxed with GGA+U, the XRD peak list of Na2FeBAsO7 was simulated for Cu Ka.
Lines closer than 0.1° are merged.

Structure:
```
24
Lattice="5.3987 0.0000 0.0000 0.0000 6.8608 0.0000 -0.3543 0.0000 9.1779" Properties=species:S:1:pos:R:3 pbc="T T T"
Na 1.1755 0.0235 2.5660
Na 1.1755 3.4069 2.5660
Na 3.8688 3.4539 6.6119
Na 3.8688 6.8373 6.6119
Fe 0.8768 5.1456 7.7472
Fe 4.1675 1.7152 1.4307
B 1.2750 5.1456 5.3162
B 3.7693 1.7152 3.8617
As 1.1627 1.7152 8.4958
As 3.8816 5.1456 0.6821
O 0.0114 5.1456 5.8731
O 0.6654 1.7152 0.8164
O 0.7951 0.3378 7.5517
O 0.7951 3.0926 7.5517
O 1.4848 5.1456 3.9945
O 2.1813 5.1456 0.2964
O 2.2677 5.1456 6.2857
O 2.7766 1.7152 2.8922
O 2.8630 1.7152 8.8814
O 3.5595 1.7152 5.1834
O 4.2492 3.7682 1.6261
O 4.2492 6.5230 1.6261
O 4.3789 5.1456 8.3615
O 5.0329 1.7152 3.3048
```

The 6 most intense peaks (15 to 90 degrees two-theta), low angle first:
| 2θ/deg | I_rel |
| --- | --- |
| 23.37 | 65 |
| 24.99 | 83 |
| 25.97 | 100 |
| 32.23 | 38 |
| 32.61 | 62 |
| 33.21 | 50 |

=====

Starting from a cell relaxed with GGA+U, the XRD peak list of BaEuDyMnO6 was simulated for Cu Ka.
Lines closer than 0.1° are merged.

Structure:
```
10
Lattice="0.0000 4.1180 4.1180 4.1180 0.0000 4.1180 4.1180 4.1180 0.0000" Properties=species:S:1:pos:R:3 pbc="T T T"
Ba 0.0000 0.0000 0.0000
Eu 4.1180 4.1180 4.1180
Dy 6.1771 6.1771 6.1771
Mn 2.0590 2.0590 2.0590
O 2.0590 2.0590 0.1407
O 2.0590 0.1407 2.0590
O 3.9774 2.0590 2.0590
O 0.1407 2.0590 2.0590
O 2.0590 3.9774 2.0590
O 2.0590 2.0590 3.9774
```

The 6 most intense peaks (15 to 90 degrees two-theta), low angle first:
| 2θ/deg | I_rel |
| --- | --- |
| 30.70 | 100 |
| 43.98 | 30 |
| 54.59 | 39 |
| 63.94 | 18 |
| 72.60 | 18 |
| 88.93 | 22 |

=====

Starting from a cell relaxed with GGA+U, the XRD peak list of CaFe4P4O16 was simulated for Cu Ka.
Lines closer than 0.1° are merged.

Structure:
```
25
Lattice="5.4558 0.0000 0.0000 -1.8143 8.5208 0.0000 -0.5076 -0.4543 8.9296" Properties=species:S:1:pos:R:3 pbc="T T T"
Ca 0.0000 0.0000 0.0000
Fe 0.3382 5.8395 0.1574
Fe 1.0219 1.7280 4.3340
Fe 3.3357 2.7351 0.0551
Fe 2.2408 6.5602 4.6825
P 0.4590 2.6632 1.4142
P -0.5718 7.1225 3.0387
P 2.4528 5.3977 7.5868
P 3.8574 1.1512 6.0004
O -1.6128 6.0783 7.7212
O -0.4801 2.0589 5.4317
O -0.6962 7.0740 1.4996
O 0.0662 4.0025 0.7739
O 0.9903 0.0554 3.4914
O 0.9871 2.9108 2.8589
O 1.5303 1.8881 0.5803
O 0.8416 6.6370 3.4263
O 2.4991 1.6619 5.4860
O 1.4689 6.3330 8.3950
O 2.0173 5.3400 6.0910
O 2.3745 3.9922 8.1651
O 2.3295 8.2173 5.5516
O 3.8660 1.1533 7.5410
O 4.6351 1.7609 1.3964
O 3.8266 6.2096 3.7084
```

The 6 most intense peaks (15 to 90 degrees two-theta), low angle first:
| 2θ/deg | I_rel |
| --- | --- |
| 18.83 | 97 |
| 19.92 | 100 |
| 20.88 | 96 |
| 22.98 | 47 |
| 31.24 | 75 |
| 33.65 | 33 |

=====

Starting from a cell relaxed with GGA+U, the XRD peak list of TlV3Cu5O13 was simulated for Cu Ka.
Lines closer than 0.1° are merged.

Structure:
```
44
Lattice="6.2038 0.0000 0.0000 -0.0995 8.3197 0.0000 -0.5219 -1.4445 10.8193" Properties=species:S:1:pos:R:3 pbc="T T T"
Tl 1.3330 -0.4138 4.3912
Tl 4.2494 7.2890 6.4281
V 1.1661 4.4479 5.3494
V 1.0824 6.9420 8.5639
V 1.4819 5.4787 1.3039
V 4.1005 1.3965 9.5154
V 4.5000 -0.0668 2.2554
V 4.4162 2.4273 5.4699
Cu -0.4460 3.9068 8.3614
Cu 1.3592 0.7228 1.1509
Cu 1.2154 1.6313 7.0131
Cu 1.1247 1.5888 10.1824
Cu 2.9111 2.9465 2.4869
Cu 2.6712 3.9287 8.3324
Cu 4.4577 5.2863 0.6369
Cu 4.3669 5.2439 3.8062
Cu 4.2232 6.1523 9.6684
Cu 6.0284 2.9684 2.4579
O -0.2838 5.3684 5.0276
O -0.0277 4.8714 2.0175
O -0.3461 5.8740 8.4541
O 1.3468 2.6795 1.2946
O 1.3344 7.1664 1.2524
O 1.1095 3.6308 7.1293
O 1.2111 -0.3061 7.2171
O 1.3350 3.2726 4.1353
O 1.1713 -0.3640 10.0168
O 1.1274 3.4951 10.4707
O 2.4939 5.5021 5.1935
O 2.4701 5.8845 8.4739
O 2.5716 1.9143 8.6397
O 3.0107 4.9609 2.1796
O 3.1123 0.9907 2.3454
O 3.0885 1.3730 5.6258
O 4.4550 3.3801 0.3486
O 4.4111 7.2392 0.8025
O 4.2473 3.6026 6.6840
O 4.3713 7.1813 3.6022
O 4.4729 3.2444 3.6900
O 4.2479 -0.2912 9.5669
O 4.2356 4.1957 9.5247
O 5.9285 1.0012 2.3652
O 5.6101 2.0038 8.8018
O 5.8662 1.5068 5.7917
```

The 6 most intense peaks (15 to 90 degrees two-theta), low angle first:
| 2θ/deg | I_rel |
| --- | --- |
| 28.82 | 57 |
| 29.01 | 40 |
| 29.45 | 31 |
| 30.67 | 36 |
| 31.16 | 48 |
| 32.54 | 100 |

=====

Starting from a cell relaxed with GGA+U, the XRD peak list of TiCrSO8 was simulated for Cu Ka.
Lines closer than 0.1° are merged.

Structure:
```
33
Lattice="8.5964 0.0000 0.0000 -4.1854 7.5801 0.0000 -0.1918 -4.7874 7.6891" Properties=species:S:1:pos:R:3 pbc="T T T"
Ti 0.0000 0.0000 0.0000
Ti -0.0795 0.0267 4.8348
Ti 4.2120 2.4095 1.1695
Cr 1.1171 3.0411 6.2444
Cr 3.1161 5.3881 2.4597
Cr 5.3538 -0.1809 6.3197
S -1.2994 2.0219 2.4329
S 1.6844 -2.4408 6.3106
S 2.3180 -0.0280 2.4753
O -0.3353 -1.5841 3.7028
O -0.9462 1.3037 1.1529
O -1.6071 -0.4454 5.8581
O -1.3197 0.9965 3.5391
O 0.4582 -3.2749 6.6194
O 1.5191 0.0539 1.1885
O -0.4530 3.1384 2.6884
O 2.4694 -3.0285 5.2751
O 1.1424 -1.0645 5.9619
O 2.7849 -1.3498 2.7196
O 1.4570 0.5443 3.5694
O 0.2218 1.6386 5.7965
O 2.4186 -2.2597 7.6124
O 3.4348 0.9709 2.2709
O 1.1739 4.1033 5.0745
O 4.7294 -3.8065 7.6440
O 1.5921 5.7133 2.7322
O 4.3833 -0.5974 5.1427
O 3.3651 3.6985 2.2457
O 2.7145 2.5743 6.5171
O 5.1219 3.7371 0.0090
O 3.5888 6.1540 1.0460
O 5.8362 2.4149 2.2585
O 5.1459 1.4720 6.6181
```

The 6 most intense peaks (15 to 90 degrees two-theta), low angle first:
| 2θ/deg | I_rel |
| --- | --- |
| 23.17 | 100 |
| 23.57 | 71 |
| 23.88 | 47 |
| 23.98 | 21 |
| 27.73 | 19 |
| 31.47 | 22 |

=====

Starting from a cell relaxed with GGA+U, the XRD peak list of Fe4O5F3 was simulated for Cu Ka.
Lines closer than 0.1° are merged.

Structure:
```
24
Lattice="5.6125 0.0000 0.0000 0.0000 4.6929 0.0000 -0.9525 0.0000 10.2733" Properties=species:S:1:pos:R:3 pbc="T T T"
Fe 0.0000 0.9437 0.0000
Fe -0.4763 3.7492 5.1367
Fe 0.6206 1.2054 7.8097
Fe 1.0968 3.4875 2.6731
Fe 2.2304 1.2794 5.3446
Fe 2.7067 3.4135 0.2079
Fe 3.8754 1.0692 2.4987
Fe 3.3991 3.6237 7.6354
O 0.6799 0.3200 6.1148
O 1.1562 4.3728 0.9781
O 0.5993 2.0298 9.5084
O 1.0755 2.6630 4.3717
O 2.1571 2.1398 7.1080
O 2.6333 2.5530 1.9714
O 3.9493 0.2158 0.7805
O 3.4730 4.4771 5.9171
O 4.6943 0.2362 8.4606
O 5.1705 4.4567 3.3240
F -0.1570 2.0859 1.7718
F -0.6333 2.6069 6.9084
F 2.3192 0.2926 3.4812
F 1.8430 4.4003 8.6179
F 3.8943 2.0931 4.3988
F 3.4181 2.5998 9.5355
```

The 6 most intense peaks (15 to 90 degrees two-theta), low angle first:
| 2θ/deg | I_rel |
| --- | --- |
| 26.76 | 100 |
| 35.11 | 37 |
| 52.61 | 14 |
| 52.86 | 28 |
| 52.98 | 14 |
| 55.14 | 16 |

=====

Starting from a cell relaxed with GGA+U, the XRD peak list of Li2CrP2O7 was simulated for Cu Ka.
Lines closer than 0.1° are merged.

Structure:
```
48
Lattice="3.9587 -6.4302 0.0000 3.9587 6.4302 0.0000 -0.1602 0.0000 11.2309" Properties=species:S:1:pos:R:3 pbc="T T T"
Li 3.8267 3.6861 5.6060
Li 3.8386 3.7352 8.4232
Li 3.9187 3.6580 2.8077
Li 4.0107 3.6861 0.0094
Li 3.7466 -3.6861 11.2215
Li 3.8386 -3.6580 8.4232
Li 3.9187 -3.7352 2.8077
Li 3.9306 -3.6861 5.6248
Cr 1.5852 0.0132 1.3486
Cr 1.5051 -0.0132 6.9640
Cr 6.2521 0.0132 4.2668
Cr 6.1720 -0.0132 9.8823
P 2.2164 1.4666 9.7760
P 2.3783 1.3916 4.1887
P 2.2965 -1.4666 4.1606
P 2.2982 -1.3916 9.8042
P 5.4590 1.3916 1.4267
P 5.4607 1.4666 7.0703
P 5.3789 -1.3916 7.0421
P 5.5408 -1.4666 1.4549
O 1.2762 1.4078 11.0068
O 1.3964 1.4377 8.4637
O 1.5022 1.3990 2.9132
O 1.4850 1.4219 5.4540
O 3.2366 2.5690 9.8188
O 3.4674 2.4294 4.2068
O 1.3563 -1.4078 5.3914
O 1.4765 -1.4377 2.8482
O 1.4221 -1.3990 8.5286
O 1.4049 -1.4219 11.0694
O 4.3699 2.4294 1.4087
O 4.4405 2.5690 7.0275
O 3.0665 0.0592 9.8145
O 3.1466 -0.0592 4.1991
O 4.6107 0.0592 7.0318
O 4.6908 -0.0592 1.4164
O 3.3167 -2.5690 4.2033
O 3.3873 -2.4294 9.8222
O 6.3524 1.4219 0.1614
O 6.3352 1.3990 2.7023
O 6.2807 1.4377 8.3826
O 6.4009 1.4078 5.8395
O 4.2898 -2.4294 7.0241
O 4.5206 -2.5690 1.4121
O 6.2723 -1.4219 5.7769
O 6.2551 -1.3990 8.3177
O 6.3608 -1.4377 2.7672
O 6.4810 -1.4078 0.2241
```

The 6 most intense peaks (15 to 90 degrees two-theta), low angle first:
| 2θ/deg | I_rel |
| --- | --- |
| 22.46 | 100 |
| 26.44 | 82 |
| 27.38 | 58 |
| 27.76 | 62 |
| 28.43 | 75 |
| 28.61 | 72 |

=====

Starting from a cell relaxed with GGA+U, the XRD peak list of Sr4MgMn2Cl2O6 was simulated for Cu Ka.
Lines closer than 0.1° are merged.

Structure:
```
15
Lattice="4.1477 0.0000 0.0000 0.0000 4.1477 0.0000 0.0000 0.0000 14.7029" Properties=species:S:1:pos:R:3 pbc="T T T"
Sr 0.0000 2.0738 1.9783
Sr 0.0000 2.0738 5.1818
Sr 2.0738 0.0000 9.5211
Sr 2.0738 0.0000 12.7246
Mg 0.0000 0.0000 0.0000
Mn 0.0000 2.0738 11.5302
Mn 2.0738 0.0000 3.1727
Cl 0.0000 2.0738 8.4169
Cl 2.0738 0.0000 6.2861
O 0.0000 0.0000 3.3173
O 0.0000 0.0000 11.3856
O 0.0000 2.0738 13.9854
O 2.0738 0.0000 0.7175
O 2.0738 2.0738 3.5644
O 2.0738 2.0738 11.1385
```

The 6 most intense peaks (15 to 90 degrees two-theta), low angle first:
| 2θ/deg | I_rel |
| --- | --- |
| 22.27 | 25 |
| 30.48 | 94 |
| 37.49 | 100 |
| 39.30 | 45 |
| 43.65 | 61 |
| 58.86 | 50 |